Diffraction record for PrH4Rh3. The powder diffractogram is calculated, not measured: it uses a structure optimized by DFT (GGA-PBE) and Cu Ka.
Kinematic intensities with the Lorentz-polarization factor, no thermal factor.

Atomic structure:
```
data_PrH4Rh3
_chemical_formula_sum 'Pr2 H8 Rh6'
_cell_length_a 5.5015
_cell_length_b 5.5015
_cell_length_c 5.5015
_cell_angle_alpha 90.00
_cell_angle_beta 90.00
_cell_angle_gamma 90.00
_symmetry_space_group_name_H-M 'P m -3 n'
_symmetry_Int_Tables_number 223
_symmetry_space_group_name_Hall '-P 4n 2 3'
loop_
_atom_site_label
_atom_site_type_symbol
_atom_site_fract_x
_atom_site_fract_y
_atom_site_fract_z
Pr1 Pr 0.0000 0.0000 0.0000
H1 H 0.2500 0.2500 0.2500
Rh1 Rh 0.0000 0.2500 0.5000
```

Most intense lines, 15° ≤ 2θ ≤ 90°, most intense first:
40.15°, rel. 100, hkl 2 1 1; 36.52°, rel. 95, hkl 2 1 0; 63.24°, rel. 52, hkl 3 2 1; 32.55°, rel. 42, hkl 2 0 0; 60.70°, rel. 21, hkl 3 2 0; 79.91°, rel. 19, hkl 4 2 1; 68.18°, rel. 18, hkl 4 0 0; 77.61°, rel. 14, hkl 4 2 0; 82.18°, rel. 12, hkl 3 3 2; 58.08°, rel. 6, hkl 2 2 2